Simulated powder diffractogram
Compound: FeRhS
Radiation: Cu Ka
Structure: a crystal structure in Alexandria, relaxed with PBE
No peak broadening, texture or thermal motion is included.

Structural model:
```
FeRhS
1.0
3.656 0.000 0.000
0.000 5.435 0.000
0.000 0.000 3.931
Fe Rh S
2 2 2
Direct
0.000 0.026 0.000
0.500 0.974 0.500
0.000 0.535 0.093
0.500 0.465 0.593
0.000 0.205 0.496
0.500 0.795 0.996
```

Top 10 peaks for 5° ≤ 2θ ≤ 70°, sorted by position:
- 2θ = 16.31°, intensity 16.4
- 2θ = 28.01°, intensity 14.7
- 2θ = 32.96°, intensity 38.3
- 2θ = 33.47°, intensity 79.3
- 2θ = 37.45°, intensity 32.0
- 2θ = 41.40°, intensity 17.3
- 2θ = 46.18°, intensity 25.3
- 2θ = 47.69°, intensity 100.0
- 2θ = 49.30°, intensity 15.2
- 2θ = 49.89°, intensity 28.8